Record 1
# Dy3Ho7Mg
Computed PXRD pattern, a wavelength of 1.5418 Å. Input: a cell relaxed with GGA-PBE.
No peak broadening, texture or thermal motion is included.

Principal peaks in the range 2θ from 10° to 90°, low angle first:
Position (°2θ)	I_rel
18.07	115
25.66	89
31.56	1000
36.60	509
41.11	57
52.73	354
62.76	421
65.90	122
86.37	178
89.20	167

Cell and atoms:
```
Dy3Ho7Mg
1.0
6.9428 0.0000 0.0000
-3.4714 6.0126 0.0000
0.0000 0.0000 8.5073
Dy Ho Mg
3 7 1
Cartesian
-1.7181 3.0165 0.0000
1.7181 3.0165 0.0000
0.0000 5.9923 0.0000
0.0000 2.0381 2.8851
-1.7063 4.9936 2.8851
0.0000 4.0084 5.6913
1.7388 1.0039 5.6631
1.7063 4.9936 2.8851
5.2039 1.0039 5.6631
3.4714 4.0048 5.6631
3.4714 2.0042 2.8894
```

Record 2
# TlAgBr2Cl
Computed PXRD pattern, a wavelength of 1.5418 Å. Input: a cell relaxed with GGA-PBE.
No peak broadening, texture or thermal motion is included.

Principal peaks in the range 2θ from 10° to 90°, low angle first:
Position (°2θ)	I_rel
23.43	287
23.97	1000
29.24	641
33.38	716
34.90	351
41.51	582
47.93	228
49.07	473
60.65	223
75.29	146

Cell and atoms:
```
TlAgBr2Cl
1.0
-3.7962 3.7962 5.1411
3.7962 -3.7962 5.1411
3.7962 3.7962 -5.1411
Tl Ag Br Cl
2 2 4 2
Cartesian
3.7962 0.0000 0.0000
0.0000 3.7962 0.0000
0.0000 0.0000 2.5636
0.0000 0.0000 7.7047
2.1423 -1.6540 2.5643
5.4502 1.6540 2.5643
1.6540 2.1423 2.5643
-1.6540 5.4502 2.5643
0.0000 0.0000 5.1341
0.0000 0.0000 10.2752
```

Record 3
# Th6CuSn2
Computed PXRD pattern, a wavelength of 1.5418 Å. Input: a cell relaxed with GGA-PBE.
No peak broadening, texture or thermal motion is included.

Principal peaks in the range 2θ from 10° to 90°, low angle first:
Position (°2θ)	I_rel
29.99	1000
31.84	795
32.37	773
36.24	202
38.73	192
43.74	213
49.37	277
55.11	351
58.52	303
61.37	126

Cell and atoms:
```
Th6CuSn2
1.0
8.5860 0.0000 0.0000
-4.2930 7.4357 0.0000
0.0000 0.0000 4.1389
Th Cu Sn
6 1 2
Cartesian
-1.0492 1.8173 0.0000
-2.5075 4.3431 2.0695
2.0984 0.0000 0.0000
1.7856 3.0927 2.0695
5.0149 0.0000 2.0695
3.2438 5.6184 0.0000
0.0000 0.0000 2.0695
0.0000 4.9572 0.0000
4.2930 2.4786 0.0000
```